Record 1
Diffraction record for MnIn2Se2S2. The PXRD pattern is computed, not measured: it uses a cell relaxed with PBE and Cu Ka.
No peak broadening, texture or thermal motion is included.

Structure:
```
7
Lattice="2.0205 1.1665 13.0108 -2.0205 1.1665 13.0108 0.0000 -2.3331 13.0108" Properties=species:S:1:pos:R:3 pbc="T T T"
Mn 0.0000 0.0000 0.0000
In 0.0000 0.0000 9.3122
In 0.0000 0.0000 18.3795
Se 0.0000 0.0000 4.1397
Se 0.0000 0.0000 13.8835
S 0.0000 0.0000 20.8497
S 0.0000 0.0000 36.6138
```

Most intense lines, 2θ = 10–80°, in order of falling intensity:
two_theta	intensity
31.5	100.0
20.5	82.5
44.9	76.6
25.6	73.6
47.4	48.4
49.8	45.7
30.1	31.2
45.3	24.8
27.1	24.5
39.5	23.1

Record 2
Diffraction record for Sm2Re3Si5. The PXRD pattern is computed, not measured: it uses a cell relaxed with PBE and Cu Ka.
No peak broadening, texture or thermal motion is included.

Structure:
```
40
Lattice="11.0250 0.0000 0.0000 0.0000 11.0250 0.0000 0.0000 0.0000 5.6318" Properties=species:S:1:pos:R:3 pbc="T T T"
Sm 0.8520 2.6132 0.0000
Sm 2.6132 10.1730 0.0000
Sm 2.8993 4.6605 2.8159
Sm 4.6605 8.1257 2.8159
Sm 6.3645 2.8993 2.8159
Sm 8.1257 6.3645 2.8159
Sm 8.4118 0.8520 0.0000
Sm 10.1730 8.4118 0.0000
Re 0.0000 5.5125 1.4080
Re 0.0000 5.5125 4.2239
Re 1.3652 9.3977 2.8159
Re 1.6274 1.3652 2.8159
Re 3.8851 6.8777 0.0000
Re 4.1473 3.8851 0.0000
Re 5.5125 0.0000 1.4080
Re 5.5125 0.0000 4.2239
Re 6.8777 7.1399 0.0000
Re 7.1399 4.1473 0.0000
Re 9.3977 9.6599 2.8159
Re 9.6599 1.6274 2.8159
Si 0.0000 0.0000 1.4209
Si 0.0000 0.0000 4.2109
Si 0.2867 3.4767 2.8159
Si 1.8950 7.4075 1.4080
Si 1.8950 7.4075 4.2239
Si 2.0358 5.2258 0.0000
Si 3.4767 10.7383 2.8159
Si 3.6176 1.8950 1.4080
Si 3.6176 1.8950 4.2239
Si 5.2258 8.9892 0.0000
Si 5.5125 5.5125 1.3950
Si 5.5125 5.5125 4.2368
Si 5.7993 2.0358 0.0000
Si 7.4075 9.1301 1.4080
Si 7.4075 9.1301 4.2239
Si 7.5483 0.2867 2.8159
Si 8.9892 5.7993 0.0000
Si 9.1301 3.6176 1.4080
Si 9.1301 3.6176 4.2239
Si 10.7383 7.5483 2.8159
```

Most intense lines, 2θ = 10–80°, in order of falling intensity:
two_theta	intensity
25.5	100.0
37.2	82.2
30.1	80.2
36.4	53.3
39.5	53.1
33.8	44.8
47.6	39.4
46.1	32.5
29.0	32.4
44.1	32.1